# Tl2GeF4
Theoretical powder X-ray diffraction pattern, CuKα. Input: DFT lattice parameters and positions (PBE).
Peak positions follow from Bragg's law for the DFT cell and can differ from measured ones.

Structure:
a b c (Å): 7.5303 5.6918 8.0369
angles (deg): 90.00 102.75 90.00
Space group P2_1/m (No. 11)
Symmetry-distinct sites (fractional):
Tl  0.1184  0.2500  0.4196
Tl  0.2165  0.7500  0.0456
Ge  0.4344  0.7500  0.6277
F  0.1058  0.2500  0.1106
F  0.2393  0.7500  0.4311
F  0.3272  0.5186  0.7322

Most intense lines, 2θ = 10–90°, in order of rising 2θ:
2θ (°), I (rel.)
21.40, 68
22.69, 25
24.10, 40
27.63, 51
29.06, 100
31.43, 41
39.09, 35
50.75, 23

---

# Tl3GeF7
Theoretical powder X-ray diffraction pattern, CuKα. Input: DFT lattice parameters and positions (PBE).
Peak positions follow from Bragg's law for the DFT cell and can differ from measured ones.

Structure:
a b c (Å): 8.7661 8.3172 7.0838
angles (deg): 90.00 120.63 90.00
Space group Cm (No. 8)
Symmetry-distinct sites (fractional):
Tl  0.0000  0.0000  0.0000
Tl  0.0103  0.2534  0.5182
Ge  0.0115  0.5000  0.0464
F  0.0564  0.0000  0.3660
F  0.1507  0.3431  0.2459
F  0.1510  0.5000  0.9237
F  0.3713  0.1584  0.8579
F  0.3738  0.0000  0.1775

Most intense lines, 2θ = 10–90°, in order of rising 2θ:
2θ (°), I (rel.)
23.59, 61
25.94, 100
26.64, 46
29.31, 29
29.73, 58
40.27, 34
44.12, 24
47.90, 20

---

# ZnGeF3
Theoretical powder X-ray diffraction pattern, CuKα. Input: DFT lattice parameters and positions (PBE).
Peak positions follow from Bragg's law for the DFT cell and can differ from measured ones.

Structure:
a b c (Å): 9.7359 4.0096 10.0145
angles (deg): 90.00 117.60 90.00
Space group C2/m (No. 12)
Symmetry-distinct sites (fractional):
Zn  0.0990  0.0000  0.4691
Ge  0.2360  0.0000  0.1426
F  0.0511  0.5000  0.7565
F  0.2402  0.0000  0.9219
F  0.2398  0.5000  0.5911

Most intense lines, 2θ = 10–90°, in order of rising 2θ:
2θ (°), I (rel.)
18.23, 34
20.59, 40
28.28, 100
28.54, 55
30.21, 41
45.23, 35
51.62, 32
54.29, 29

---

# Zr2GeF11
Theoretical powder X-ray diffraction pattern, CuKα. Input: DFT lattice parameters and positions (PBE).
Peak positions follow from Bragg's law for the DFT cell and can differ from measured ones.

Structure:
a b c (Å): 7.9905 9.9082 10.4702
angles (deg): 90.00 90.00 90.00
Space group Ibam (No. 72)
Symmetry-distinct sites (fractional):
Zr  0.1188  0.1896  0.0000
Ge  0.0000  0.5000  0.2500
F  0.0000  0.0000  0.0000
F  0.0802  0.3673  0.1289
F  0.1404  0.2186  0.5000
F  0.2188  0.1083  0.1537

Most intense lines, 2θ = 10–90°, in order of rising 2θ:
2θ (°), I (rel.)
16.94, 40
22.20, 100
22.76, 34
24.74, 88
25.50, 97
45.66, 35
47.15, 26
50.56, 27

---

# Zr2Ge2F
Theoretical powder X-ray diffraction pattern, CuKα. Input: DFT lattice parameters and positions (PBE).
Peak positions follow from Bragg's law for the DFT cell and can differ from measured ones.

Structure:
a b c (Å): 6.7414 6.7414 3.9902
angles (deg): 90.00 90.00 90.00
Space group P4/mbm (No. 127)
Symmetry-distinct sites (fractional):
Zr  0.1773  0.3227  0.0000
Ge  0.1282  0.6282  0.5000
F  0.0000  0.0000  0.0000

Most intense lines, 2θ = 10–90°, in order of rising 2θ:
2θ (°), I (rel.)
18.61, 20
26.44, 11
37.39, 100
42.40, 19
45.46, 15
61.27, 11
63.91, 11
78.62, 11

---

# HF
Theoretical powder X-ray diffraction pattern, CuKα. Input: DFT lattice parameters and positions (PBE).
Peak positions follow from Bragg's law for the DFT cell and can differ from measured ones.

Structure:
a b c (Å): 5.9077 5.9077 2.2596
angles (deg): 90.00 90.00 90.00
Space group P4_2/mnm (No. 136)
Symmetry-distinct sites (fractional):
H  0.2139  0.2139  0.0000
F  0.1988  0.1988  0.5000

Most intense lines, 2θ = 10–90°, in order of rising 2θ:
2θ (°), I (rel.)
30.26, 100
33.93, 67
43.32, 20
45.65, 49
62.57, 13
64.75, 9
65.10, 15
71.07, 10

---

# H2F5
Theoretical powder X-ray diffraction pattern, CuKα. Input: DFT lattice parameters and positions (PBE).
Peak positions follow from Bragg's law for the DFT cell and can differ from measured ones.

Structure:
a b c (Å): 3.4902 6.5155 8.4645
angles (deg): 98.82 99.21 101.45
Space group P-1 (No. 2)
Symmetry-distinct sites (fractional):
H  0.1892  0.4849  0.3422
H  0.1957  0.5111  0.8415
F  0.0376  0.5867  0.2664
F  0.1355  0.9333  0.8417
F  0.3471  0.3775  0.4172
F  0.3533  0.0350  0.7354
F  0.4402  0.6193  0.9508

Most intense lines, 2θ = 10–90°, in order of rising 2θ:
2θ (°), I (rel.)
28.19, 34
28.48, 64
30.95, 100
34.99, 36
36.09, 90
37.37, 78
38.36, 51
39.38, 49

---

# HF8
Theoretical powder X-ray diffraction pattern, CuKα. Input: DFT lattice parameters and positions (PBE).
Peak positions follow from Bragg's law for the DFT cell and can differ from measured ones.

Structure:
a b c (Å): 3.6190 6.1065 6.2163
angles (deg): 116.66 93.53 103.97
Space group P-1 (No. 2)
Symmetry-distinct sites (fractional):
H  0.0000  0.0000  0.0000
F  0.0829  0.2033  0.0125
F  0.0910  0.7870  0.4723
F  0.4093  0.7713  0.0117
F  0.4112  0.6903  0.4786

Most intense lines, 2θ = 10–90°, in order of rising 2θ:
2θ (°), I (rel.)
28.83, 12
32.78, 9
32.88, 80
34.46, 100
35.33, 13
38.23, 14
52.78, 7
59.73, 12

---

# HF2
Theoretical powder X-ray diffraction pattern, CuKα. Input: DFT lattice parameters and positions (PBE).
Peak positions follow from Bragg's law for the DFT cell and can differ from measured ones.

Structure:
a b c (Å): 3.1195 3.4051 6.6495
angles (deg): 103.51 96.54 97.70
Space group P-1 (No. 2)
Symmetry-distinct sites (fractional):
H  0.0033  0.4982  0.2497
F  0.2397  0.3203  0.6642
F  0.2458  0.3167  0.1636

Most intense lines, 2θ = 10–90°, in order of rising 2θ:
2θ (°), I (rel.)
27.32, 37
27.92, 43
33.93, 100
36.79, 53
37.53, 46
43.81, 37
43.97, 34
48.43, 17

---

# H2F3
Theoretical powder X-ray diffraction pattern, CuKα. Input: DFT lattice parameters and positions (PBE).
Peak positions follow from Bragg's law for the DFT cell and can differ from measured ones.

Structure:
a b c (Å): 4.6601 8.5204 5.6545
angles (deg): 90.00 98.21 90.00
Space group Cc (No. 9)
Symmetry-distinct sites (fractional):
H  0.0000  0.0791  0.0000
H  0.3976  0.1497  0.0906
F  0.0831  0.2739  0.5753
F  0.1937  0.0663  0.1228
F  0.2627  0.4111  0.3585

Most intense lines, 2θ = 10–90°, in order of rising 2θ:
2θ (°), I (rel.)
26.29, 100
28.76, 66
31.98, 14
36.65, 43
39.06, 20
39.47, 90
41.44, 32
44.68, 18

---

# H2F13
Theoretical powder X-ray diffraction pattern, CuKα. Input: DFT lattice parameters and positions (PBE).
Peak positions follow from Bragg's law for the DFT cell and can differ from measured ones.

Structure:
a b c (Å): 4.5070 4.5070 34.3316
angles (deg): 90.00 90.00 120.00
Space group R-3m (No. 166, hexagonal axes)
Symmetry-distinct sites (fractional):
H  0.0000  0.0000  0.1263
F  0.0000  0.0000  0.0000
F  0.0042  0.5021  0.5423
F  0.0426  0.5213  0.2837

Most intense lines, 2θ = 10–90°, in order of rising 2θ:
2θ (°), I (rel.)
22.93, 42
26.26, 61
30.97, 39
31.26, 100
47.80, 40
48.46, 32
50.32, 41
55.54, 47

---

# HF
Theoretical powder X-ray diffraction pattern, CuKα. Input: DFT lattice parameters and positions (PBE).
Peak positions follow from Bragg's law for the DFT cell and can differ from measured ones.

Structure:
a b c (Å): 4.7976 4.0576 4.0064
angles (deg): 90.00 90.00 90.00
Space group Cmc2_1 (No. 36)
Symmetry-distinct sites (fractional):
H  0.0000  0.0255  0.0000
F  0.0000  0.1590  0.7854

Most intense lines, 2θ = 10–90°, in order of rising 2θ:
2θ (°), I (rel.)
28.82, 57
36.67, 100
37.49, 37
45.27, 15
50.42, 19
60.18, 11
64.49, 15
67.11, 11

---

# HgHF
Theoretical powder X-ray diffraction pattern, CuKα. Input: DFT lattice parameters and positions (PBE).
Peak positions follow from Bragg's law for the DFT cell and can differ from measured ones.

Structure:
a b c (Å): 3.0854 3.1009 6.6904
angles (deg): 89.26 88.67 72.07
Space group P1 (No. 1)
Symmetry-distinct sites (fractional):
Hg  0.0000  0.0000  0.0000
H  0.6582  0.6378  0.4993
F  0.4631  0.4535  0.5001

Most intense lines, 2θ = 10–90°, in order of rising 2θ:
2θ (°), I (rel.)
13.24, 100
26.66, 33
30.30, 16
30.46, 15
33.10, 37
33.27, 18
33.59, 18
40.47, 15